(1)
This entry pairs a crystal structure of MgPd2 with its simulated powder diffraction line list. Radiation: copper Kα. Structure: a cell relaxed with GGA-PBE.
Intensities are scaled so that the largest is 100.

Crystal structure
```
MgPd2
1.0
5.5364 0.0000 0.0000
0.0000 4.1840 0.0000
0.0000 0.0000 8.1526
Mg Pd
4 8
direct
0.1674 0.2500 0.0987
0.3326 0.7500 0.5987
0.6674 0.2500 0.4013
0.8326 0.7500 0.9013
0.0693 0.2500 0.7648
0.1572 0.2500 0.4280
0.3428 0.7500 0.9280
0.4307 0.7500 0.2648
0.5693 0.2500 0.7352
0.6572 0.2500 0.0720
0.8428 0.7500 0.5720
0.9307 0.7500 0.2352
```

Principal peaks in the range 2θ from 10° to 90°, sorted by position:
| 2θ (°) | d (Å) | I (rel.) |
| --- | --- | --- |
| 28.9 | 3.089 | 30 |
| 39.0 | 2.309 | 79 |
| 39.3 | 2.290 | 18 |
| 39.5 | 2.279 | 100 |
| 40.6 | 2.221 | 31 |
| 43.2 | 2.092 | 41 |
| 46.8 | 1.939 | 44 |
| 65.6 | 1.422 | 31 |

(2)
This entry pairs a crystal structure of Na3Cu2Cl4 with its simulated powder diffraction line list. Radiation: copper Kα. Structure: a cell relaxed with GGA-PBE.
Intensities are scaled so that the largest is 100.

Crystal structure
```
Na3Cu2Cl4
1.0
6.8223 -4.4623 0.0000
6.8223 4.4623 0.0000
-0.5549 0.0000 7.1560
Na Cu Cl
6 4 8
direct
0.1105 0.8895 0.7500
0.2441 0.4629 0.3501
0.4629 0.2441 0.8501
0.5371 0.7559 0.1499
0.7559 0.5371 0.6499
0.8895 0.1105 0.2500
0.0173 0.3474 0.9995
0.3474 0.0173 0.4995
0.6526 0.9827 0.5005
0.9827 0.6526 0.0005
0.0756 0.2452 0.5157
0.2452 0.0756 0.0157
0.2772 0.6057 0.9959
0.3943 0.7228 0.5041
0.6057 0.2772 0.4959
0.7228 0.3943 0.0041
0.7548 0.9244 0.9843
0.9244 0.7548 0.4843
```

Principal peaks in the range 2θ from 10° to 90°, sorted by position:
| 2θ (°) | d (Å) | I (rel.) |
| --- | --- | --- |
| 16.8 | 5.278 | 59 |
| 17.5 | 5.059 | 54 |
| 22.0 | 4.043 | 40 |
| 24.9 | 3.578 | 100 |
| 32.2 | 2.776 | 59 |
| 34.6 | 2.592 | 35 |
| 36.2 | 2.480 | 29 |
| 51.1 | 1.788 | 33 |